No. 1
Simulated powder X-ray diffraction pattern
Compound: NdNpTe6
Radiation: Cu Kα (weighted mean of Kα1 and Kα2)
Structure: DFT lattice parameters and positions (PBE)

Cell and atoms:
a b c (Å): 4.364 4.436 13.274
angles (deg): 90.00 99.33 90.00
Space group Pm (No. 6)
Unique sites:
Nd (0.000, 0.000, 0.000) (multiplicity 1)
Np (0.662, 0.500, 0.325) (multiplicity 1)
Te (0.129, 0.000, 0.257) (multiplicity 1)
Te (0.252, 0.500, 0.504) (multiplicity 1)
Te (0.404, 0.000, 0.810) (multiplicity 1)
Te (0.540, 0.500, 0.079) (multiplicity 1)
Te (0.752, 0.000, 0.504) (multiplicity 1)
Te (0.904, 0.500, 0.810) (multiplicity 1)

Principal peaks in the range 10° ≤ 2θ ≤ 90°, in order of rising 2θ:
Position (°2θ)	d_spacing	Rel. int.	index
13.52	6.549	23	0 0 2
27.23	3.275	42	0 0 4
28.90	3.089	29	1 1 0
30.50	2.931	100	1 1 1
33.50	2.675	63	1 1 2
34.03	2.635	20	0 1 4
37.60	2.392	37	1 1 -4
40.68	2.218	31	0 2 0
41.37	2.182	39	2 0 -1
59.42	1.556	26	2 2 -1

---

No. 2
Simulated powder X-ray diffraction pattern
Compound: PbW2N
Radiation: Cu Kα (weighted mean of Kα1 and Kα2)
Structure: DFT lattice parameters and positions (PBE)

Cell and atoms:
a b c (Å): 10.135 5.852 13.506
angles (deg): 90.00 104.66 90.00
Space group C2/c (No. 15)
Unique sites:
Pb (0.000, 0.087, 0.250) (multiplicity 4)
Pb (0.167, 0.414, 0.750) (multiplicity 8)
W (0.060, 0.418, 0.430) (multiplicity 8)
W (0.107, 0.083, 0.570) (multiplicity 8)
W (0.226, 0.083, 0.930) (multiplicity 8)
N (0.083, 0.250, 0.001) (multiplicity 8)
N (0.250, 0.250, 0.500) (multiplicity 4)

Principal peaks in the range 10° ≤ 2θ ≤ 90°, in order of rising 2θ:
Position (°2θ)	d_spacing	Rel. int.	index
30.55	2.926	26	3 1 -1
37.01	2.429	100	0 2 3
41.46	2.178	14	0 0 6
52.34	1.748	8	3 1 -7
54.31	1.689	24	6 0 -2
67.52	1.387	12	6 2 -5
67.61	1.386	6	6 2 1
70.48	1.336	9	6 0 -8
70.64	1.333	9	6 0 4
72.67	1.301	7	0 2 9